Entry 1:
Computed X-ray diffraction stick pattern of NaCuPO4 for Cu Kα, from a crystal structure in Alexandria, relaxed with GGA-PBE.
No peak broadening, texture or thermal motion is included.

Principal peaks in the range 10 to 90 degrees two-theta, by intensity:
2θ (°)  intensity  h k l
31.69  100.0  1 2 1
33.09  79.5  1 0 3
23.73  77.2  1 1 1
28.57  75.2  1 1 2
23.95  71.7  0 2 0
14.97  66.8  0 1 1
35.29  65.5  1 1 3
53.74  56.0  2 3 1
18.12  53.4  0 0 2
30.31  50.7  1 2 0

Cell and atoms:
Lattice parameters (Å, degrees): 4.8453 7.4314 9.7910 90.00 90.00 90.00
Space group P2_12_12_1 (No. 19)
One atom of each set of equivalent atoms:
Na  0.0250  0.2357  0.1833 x4
Cu  0.0044  0.5727  0.9500 x4
P  0.0717  0.9772  0.8714 x4
O  0.1681  0.0466  0.7297 x4
O  0.2024  0.7848  0.8913 x4
O  0.2190  0.0991  0.9798 x4
O  0.2454  0.4803  0.6150 x4


Entry 2:
Computed X-ray diffraction stick pattern of Na2CuP2O7 for Cu Kα, from a crystal structure in Alexandria, relaxed with GGA-PBE.
No peak broadening, texture or thermal motion is included.

Principal peaks in the range 10 to 90 degrees two-theta, by intensity:
2θ (°)  intensity  h k l
28.46  100.0  3 1 -2
26.95  82.9  1 1 -2
18.77  76.5  1 1 -1
40.92  35.9  4 2 0
25.03  35.6  3 1 0
32.20  35.4  2 0 2
13.15  33.3  2 0 0
33.93  30.3  5 1 -1
51.36  21.1  6 2 0
16.55  20.0  1 1 0

Cell and atoms:
Lattice parameters (Å, degrees): 14.8398 5.8384 8.1330 90.00 114.86 90.00
Space group C2/c (No. 15)
One atom of each set of equivalent atoms:
Na  0.2282  0.1419  0.2995 x8
Cu  0.0000  0.0000  0.0000 x4
P  0.1048  0.3381  0.8438 x8
O  0.0000  0.4765  0.7500 x4
O  0.1020  0.2120  0.0085 x8
O  0.1091  0.1677  0.7003 x8
O  0.1876  0.4878  0.3984 x8


Entry 3:
Computed X-ray diffraction stick pattern of NaCuP3O9 for Cu Kα, from a crystal structure in Alexandria, relaxed with GGA-PBE.
No peak broadening, texture or thermal motion is included.

Principal peaks in the range 10 to 90 degrees two-theta, by intensity:
2θ (°)  intensity  h k l
21.71  100.0  0 2 1
24.18  84.6  1 1 2
31.10  81.2  1 0 3
17.31  69.2  1 1 1
33.55  54.0  3 1 0
35.01  40.2  2 2 2
23.36  37.3  2 1 0
13.68  36.2  0 1 1
25.32  35.1  2 1 1
45.52  30.2  4 1 1

Cell and atoms:
Lattice parameters (Å, degrees): 8.3802 9.1273 9.1850 90.00 90.00 90.00
Space group P2_12_12_1 (No. 19)
One atom of each set of equivalent atoms:
Na  0.1190  0.0667  0.1113 x4
Cu  0.1042  0.8589  0.3869 x4
P  0.0452  0.6669  0.0460 x4
P  0.0567  0.0602  0.7349 x4
P  0.2325  0.5836  0.5650 x4
O  0.0224  0.1898  0.6174 x4
O  0.0664  0.0708  0.3640 x4
O  0.0856  0.8129  0.1070 x4
O  0.1058  0.9253  0.6549 x4
O  0.1193  0.5362  0.6972 x4
O  0.1300  0.3264  0.1223 x4
O  0.1346  0.6488  0.4429 x4
O  0.1616  0.1204  0.8551 x4
O  0.2072  0.5740  0.0119 x4